This entry pairs a crystal structure of CeMnGeO6 with its theoretical PXRD pattern. Radiation: CuKα. Structure: a crystal structure in Alexandria, relaxed with PBE+U.
No peak broadening, texture or thermal motion is included.

Most intense lines, 2θ from 5° to 70°, in order of rising 2θ:
(1 0 1), 2θ 20.94, rel. 19; (1 1 0), 2θ 26.50, rel. 100; (1 0 3), 2θ 34.31, rel. 71; (2 0 0), 2θ 37.83, rel. 19; (2 1 3), 2θ 51.98, rel. 63; (2 2 0), 2θ 54.57, rel. 17; (1 1 6), 2θ 65.85, rel. 14; (3 0 3), 2θ 66.06, rel. 20

Crystal structure
```
data_CeMnGeO6
_chemical_formula_sum 'Ce2 Mn2 Ge2 O12'
_symmetry_space_group_name_H-M 'P 1'
_symmetry_Int_Tables_number 1
_symmetry_space_group_name_Hall 'P 1'
_cell_length_a 4.757
_cell_length_b 4.757
_cell_length_c 9.385
_cell_angle_alpha 90.00
_cell_angle_beta 90.00
_cell_angle_gamma 90.00
loop_
_atom_site_label
_atom_site_type_symbol
_atom_site_fract_x
_atom_site_fract_y
_atom_site_fract_z
_atom_site_occupancy
Ce1 Ce 0.000 0.000 0.000 1
Ce2 Ce 0.500 0.500 0.500 1
Mn1 Mn 0.000 0.000 0.332 1
Mn2 Mn 0.500 0.500 0.832 1
Ge1 Ge 0.000 0.000 0.667 1
Ge2 Ge 0.500 0.500 0.167 1
O1 O 0.171 0.171 0.501 1
O2 O 0.206 0.206 0.813 1
O3 O 0.208 0.208 0.183 1
O4 O 0.292 0.708 0.683 1
O5 O 0.294 0.706 0.313 1
O6 O 0.329 0.671 0.001 1
O7 O 0.671 0.329 0.001 1
O8 O 0.706 0.294 0.313 1
O9 O 0.708 0.292 0.683 1
O10 O 0.792 0.792 0.183 1
O11 O 0.794 0.794 0.813 1
O12 O 0.829 0.829 0.501 1
```